Computed X-ray diffraction stick pattern of Zr4TlIn3 for Cu Kα (λ = 1.5418 Å), from a cell relaxed with PBE.
Neutral-atom scattering factors, no anomalous dispersion.

Crystal structure
```
Zr4TlIn3
1.0
10.3489 0.0000 0.0000
0.0000 6.4033 0.0000
0.0000 0.0000 5.4103
Zr Tl In
8 2 6
Direct
0.0000 0.2490 0.0000 Zr
0.0000 0.7510 0.0000 Zr
0.2500 0.2490 0.3378 Zr
0.2500 0.7510 0.3378 Zr
0.5000 0.2490 0.0000 Zr
0.5000 0.7510 0.0000 Zr
0.7500 0.2490 0.6622 Zr
0.7500 0.7510 0.6622 Zr
0.0000 0.5000 0.5000 Tl
0.5000 0.5000 0.5000 Tl
0.0000 0.0000 0.5000 In
0.2500 0.0000 0.8461 In
0.2500 0.5000 0.8509 In
0.5000 0.0000 0.5000 In
0.7500 0.0000 0.1539 In
0.7500 0.5000 0.1491 In
```

Principal peaks in the range 10 to 90 degrees two-theta, in order of falling intensity:
36.96°, I = 100, hkl 2 2 1; 34.67°, I = 47, hkl 4 0 0; 37.52°, I = 39, hkl 2 0 2; 33.66°, I = 29, hkl 1 2 1; 70.06°, I = 23, hkl 4 2 3; 63.65°, I = 20, hkl 6 2 1; 58.76°, I = 19, hkl 0 2 3; 34.26°, I = 17, hkl 1 0 2